# Na2PH3O5
Computed powder X-ray diffraction pattern, λ = 1.5418 Å (Cu Kα). Input: a GGA-PBE-relaxed structure.

Peak list (12 most intense, 2θ from 10° to 90°, low angle first)
2θ/deg	d (Å)	I (rel.)	index
20.03	4.433	58	1 -1 0
24.62	3.615	49	1 1 -1
24.78	3.592	100	0 1 -2
27.61	3.231	32	1 1 0
31.13	2.873	55	-1 1 2
31.71	2.822	59	0 2 -1
34.16	2.625	57	2 0 -2
34.97	2.566	41	2 0 0
35.17	2.552	34	1 1 1
35.56	2.525	48	0 1 -3
38.87	2.317	36	2 -1 1
39.20	2.298	53	1 2 -2

Cell lengths 5.685, 5.768, 8.052 Å; angles 104.27, 108.56, 101.69 degrees
Sites, in units of the cell vectors:
Na 0.016 0.166 0.214
Na 0.236 0.777 0.437
Na 0.764 0.223 0.563
Na 0.984 0.834 0.786
P 0.371 0.413 0.707
P 0.629 0.587 0.293
H 0.250 0.361 0.940
H 0.302 0.786 0.117
H 0.442 0.074 0.155
H 0.558 0.926 0.845
H 0.698 0.214 0.883
H 0.750 0.639 0.060
O 0.202 0.269 0.803
O 0.270 0.942 0.097
O 0.280 0.642 0.690
O 0.307 0.213 0.521
O 0.335 0.512 0.166
O 0.665 0.488 0.834
O 0.693 0.787 0.479
O 0.720 0.358 0.310
O 0.730 0.058 0.903
O 0.798 0.731 0.197